(1)
Calculated XRD peak list of LiY3Pt4 for Cu Ka, from a structure optimized by DFT (PBE).
Intensities are scaled so that the largest is 100.

The 12 most intense peaks (2θ from 10° to 90°), in order of rising 2θ:
2θ/deg  I (rel.)  index
25.84  38  0 2 0
26.51  18  0 0 2
36.87  70  2 2 -1
37.33  100  2 0 1
37.42  33  2 0 -3
45.92  9  2 2 1
53.12  25  0 4 0
54.59  11  0 0 4
66.67  25  4 2 0
66.81  24  4 2 -4
67.61  11  2 2 3
67.79  11  2 2 -5

```
data_LiY3Pt4
_chemical_formula_sum 'Li2 Y6 Pt8'
_cell_length_a 6.8976
_cell_length_b 6.8945
_cell_length_c 7.5464
_cell_angle_alpha 90.00
_cell_angle_beta 116.99
_cell_angle_gamma 90.00
_space_group_name_H-M_alt 'C 1 2/m 1'
_space_group_IT_number 12
loop_
_space_group_symop_operation_xyz
'x,y,z'
'-x,-y,-z'
'-x,y,-z'
'x,-y,z'
'x+1/2,y+1/2,z'
'-x+1/2,-y+1/2,-z'
'-x+1/2,y+1/2,-z'
'x+1/2,-y+1/2,z'
loop_
_atom_site_label
_atom_site_fract_x
_atom_site_fract_y
_atom_site_fract_z
_atom_site_occupancy
Li1 0.0000 0.0000 0.0000 1
Y1 0.0000 0.5000 0.0000 1
Y2 0.2414 0.0000 0.4821 1
Pt1 0.1274 0.2493 0.7554 1
```

***

(2)
Calculated XRD peak list of Cr2BiMoOsRh for Cu Ka, from a structure optimized by DFT (PBE).
Intensities are scaled so that the largest is 100.

The 12 most intense peaks (2θ from 10° to 90°), in order of rising 2θ:
2θ/deg  I (rel.)  index
20.89  19  0 1 -1
25.48  22  0 0 2
26.15  27  0 1 1
32.20  25  1 -1 0
38.81  100  1 0 1
39.07  47  0 1 -3
40.45  43  0 2 0
44.39  73  1 1 -2
48.20  20  0 1 3
63.22  14  -2 1 1
66.64  15  1 -1 4
76.91  16  2 -2 2

```
data_Cr2BiMoOsRh
_chemical_formula_sum 'Cr2 Bi1 Mo1 Os1 Rh1'
_cell_length_a 2.9412
_cell_length_b 4.8233
_cell_length_c 7.3502
_cell_angle_alpha 99.41
_cell_angle_beta 101.49
_cell_angle_gamma 107.72
_space_group_name_H-M_alt 'P 1'
_space_group_IT_number 1
loop_
_space_group_symop_operation_xyz
'x,y,z'
loop_
_atom_site_label
_atom_site_fract_x
_atom_site_fract_y
_atom_site_fract_z
_atom_site_occupancy
Cr1 0.0000 0.0000 0.0000 1
Cr2 0.4064 0.0383 0.7693 1
Bi1 0.6962 0.0091 0.3839 1
Mo1 0.5784 0.5683 0.5963 1
Os1 0.1990 0.5086 0.8898 1
Rh1 0.8383 0.4669 0.2094 1
```

***

(3)
Calculated XRD peak list of CsTl2ZnCl5 for Cu Ka, from a structure optimized by DFT (PBE).
Intensities are scaled so that the largest is 100.

The 12 most intense peaks (2θ from 10° to 90°), in order of rising 2θ:
2θ/deg  I (rel.)  index
12.07  18  0 0 2
23.34  55  2 1 1
23.53  68  2 0 2
24.27  33  0 0 4
28.61  20  2 2 0
29.08  100  2 1 3
32.07  32  3 1 0
37.86  18  2 2 4
38.22  25  2 1 5
42.26  18  2 0 6
42.69  18  4 1 1
46.30  22  4 1 3

```
data_CsTl2ZnCl5
_chemical_formula_sum 'Cs4 Tl8 Zn4 Cl20'
_cell_length_a 8.8254
_cell_length_b 8.8254
_cell_length_c 14.6691
_cell_angle_alpha 90.00
_cell_angle_beta 90.00
_cell_angle_gamma 90.00
_space_group_name_H-M_alt 'I 4/m c m'
_space_group_IT_number 140
_space_group_name_Hall '-I 4 2c'
loop_
_atom_site_label
_atom_site_fract_x
_atom_site_fract_y
_atom_site_fract_z
_atom_site_occupancy
Cs1 0.0000 0.0000 0.2500 1
Tl1 0.1692 0.3308 0.0000 1
Zn1 0.0000 0.5000 0.2500 1
Cl1 0.0000 0.0000 0.0000 1
Cl2 0.1429 0.3571 0.3478 1
```

***

(4)
Calculated XRD peak list of U3PaP4 for Cu Ka, from a structure optimized by DFT (PBE).
Intensities are scaled so that the largest is 100.

The 9 most intense peaks (2θ from 10° to 90°), in order of rising 2θ:
2θ/deg  I (rel.)  index
27.73  100  1 1 1
32.13  91  2 0 0
46.08  68  2 2 0
54.63  50  3 1 1
57.28  24  2 2 2
67.21  11  4 0 0
74.19  21  3 3 1
76.45  32  4 2 0
85.35  25  4 2 2

```
data_U3PaP4
_chemical_formula_sum 'U3 Pa1 P4'
_cell_length_a 5.5717
_cell_length_b 5.5717
_cell_length_c 5.5717
_cell_angle_alpha 90.00
_cell_angle_beta 90.00
_cell_angle_gamma 90.00
_space_group_name_H-M_alt 'P m -3 m'
_space_group_IT_number 221
_space_group_name_Hall '-P 4 2 3'
loop_
_atom_site_label
_atom_site_fract_x
_atom_site_fract_y
_atom_site_fract_z
_atom_site_occupancy
U1 0.0000 0.0000 0.5000 1
Pa1 0.5000 0.5000 0.5000 1
P1 0.0000 0.0000 0.0000 1
P2 0.0000 0.5000 0.5000 1
```

***

(5)
Calculated XRD peak list of SmMn4S8 for Cu Ka, from a structure optimized by DFT (PBE).
Intensities are scaled so that the largest is 100.

The 12 most intense peaks (2θ from 10° to 90°), in order of rising 2θ:
2θ/deg  I (rel.)  index
13.86  27  0 0 3
15.82  41  1 0 1
17.74  35  0 1 2
23.99  17  1 0 4
26.35  13  1 1 0
27.81  12  0 1 5
29.89  19  1 1 3
35.93  100  0 2 4
38.76  10  1 1 6
49.12  32  2 0 8
54.23  30  2 2 0
66.78  14  4 0 4

```
data_SmMn4S8
_chemical_formula_sum 'Sm3 Mn12 S24'
_cell_length_a 6.7657
_cell_length_b 6.7657
_cell_length_c 19.1706
_cell_angle_alpha 90.00
_cell_angle_beta 90.00
_cell_angle_gamma 120.00
_space_group_name_H-M_alt 'R -3 m'
_space_group_IT_number 166
_space_group_name_Hall '-R 3 2"'
loop_
_atom_site_label
_atom_site_fract_x
_atom_site_fract_y
_atom_site_fract_z
_atom_site_occupancy
Sm1 0.0000 0.0000 0.0000 1
Mn1 0.0000 0.0000 0.5000 1
Mn2 0.0000 0.5000 0.5000 1
S1 0.0000 0.0000 0.2341 1
S2 0.0059 0.5030 0.2341 1
```

***

(6)
Calculated XRD peak list of FeNi9W2 for Cu Ka, from a structure optimized by DFT (PBE).
Intensities are scaled so that the largest is 100.

The 12 most intense peaks (2θ from 10° to 90°), in order of rising 2θ:
2θ/deg  I (rel.)  index
16.38  5  0 0 2
24.65  16  1 0 0
25.99  4  1 0 1
29.73  6  1 0 2
35.14  13  1 1 0
38.98  3  1 1 2
43.39  100  1 1 3
50.54  47  2 0 0
57.01  7  2 1 0
63.04  5  2 1 3
74.27  28  2 2 0
79.62  3  3 0 0

```
data_FeNi9W2
_chemical_formula_sum 'Fe1 Ni9 W2'
_cell_length_a 3.6138
_cell_length_b 3.6138
_cell_length_c 10.8255
_cell_angle_alpha 90.00
_cell_angle_beta 90.00
_cell_angle_gamma 90.00
_space_group_name_H-M_alt 'P 4/m m m'
_space_group_IT_number 123
_space_group_name_Hall '-P 4 2'
loop_
_atom_site_label
_atom_site_fract_x
_atom_site_fract_y
_atom_site_fract_z
_atom_site_occupancy
Fe1 0.0000 0.0000 0.0000 1
Ni1 0.0000 0.5000 0.1637 1
Ni2 0.0000 0.5000 0.5000 1
Ni3 0.5000 0.5000 0.0000 1
Ni4 0.5000 0.5000 0.3337 1
W1 0.0000 0.0000 0.3265 1
```

***

(7)
Calculated XRD peak list of CeIn2Cl6 for Cu Ka, from a structure optimized by DFT (PBE).
Intensities are scaled so that the largest is 100.

The 12 most intense peaks (2θ from 10° to 90°), in order of rising 2θ:
2θ/deg  I (rel.)  index
18.02  100  1 1 0
23.60  61  1 0 3
26.90  17  1 1 3
35.09  82  2 1 3
36.50  27  2 2 0
40.24  12  0 0 6
40.99  15  3 1 0
43.93  33  3 0 3
44.41  18  1 1 6
51.53  12  3 2 3
55.44  14  2 2 6
58.39  15  4 1 3

```
data_CeIn2Cl6
_chemical_formula_sum 'Ce2 In4 Cl12'
_cell_length_a 6.9633
_cell_length_b 6.9633
_cell_length_c 13.4478
_cell_angle_alpha 90.00
_cell_angle_beta 90.00
_cell_angle_gamma 90.00
_space_group_name_H-M_alt 'P 42/m n m'
_space_group_IT_number 136
_space_group_name_Hall '-P 4n 2n'
loop_
_atom_site_label
_atom_site_fract_x
_atom_site_fract_y
_atom_site_fract_z
_atom_site_occupancy
Ce1 0.0000 0.0000 0.0000 1
In1 0.0000 0.0000 0.3336 1
Cl1 0.1823 0.1823 0.1466 1
Cl2 0.2312 0.2312 0.5000 1
```

***

(8)
Calculated XRD peak list of Nd6RuRh2 for Cu Ka, from a structure optimized by DFT (PBE).
Intensities are scaled so that the largest is 100.

The 12 most intense peaks (2θ from 10° to 90°), in order of rising 2θ:
2θ/deg  I (rel.)  index
28.47  33  1 2 0
28.89  34  1 0 2
28.96  34  2 1 -2
29.64  23  0 2 2
29.95  100  1 0 -4
31.34  22  1 1 2
32.20  30  1 2 1
32.31  28  1 1 -4
32.84  24  1 2 -3
35.73  26  0 2 3
38.49  26  1 3 -1
46.34  22  3 1 -5

```
data_Nd6RuRh2
_chemical_formula_sum 'Nd12 Ru2 Rh4'
_cell_length_a 6.7734
_cell_length_b 7.4782
_cell_length_c 11.9951
_cell_angle_alpha 90.00
_cell_angle_beta 121.88
_cell_angle_gamma 90.00
_space_group_name_H-M_alt 'P 1 21/c 1'
_space_group_IT_number 14
loop_
_space_group_symop_operation_xyz
'x,y,z'
'-x,-y,-z'
'-x,y+1/2,-z+1/2'
'x,-y+1/2,z+1/2'
loop_
_atom_site_label
_atom_site_fract_x
_atom_site_fract_y
_atom_site_fract_z
_atom_site_occupancy
Nd1 0.0895 0.0528 0.2516 1
Nd2 0.2485 0.6787 0.0742 1
Nd3 0.4052 0.1783 0.0690 1
Ru1 0.0000 0.0000 0.0000 1
Rh1 0.3124 0.1135 0.7607 1
```

***

(9)
Calculated XRD peak list of ErAl3Tc for Cu Ka, from a structure optimized by DFT (PBE).
Intensities are scaled so that the largest is 100.

The 12 most intense peaks (2θ from 10° to 90°), in order of rising 2θ:
2θ/deg  I (rel.)  index
15.00  30  0 1 1
27.16  100  1 2 1
29.69  61  1 1 2
30.95  40  2 0 0
34.56  15  2 1 1
38.42  24  0 4 0
38.79  17  1 0 3
39.16  20  2 0 2
40.50  26  1 3 2
50.12  16  2 4 0
51.90  17  0 2 4
52.77  16  3 2 1

```
data_ErAl3Tc
_chemical_formula_sum 'Er4 Al12 Tc4'
_cell_length_a 5.7789
_cell_length_b 9.3724
_cell_length_c 7.6056
_cell_angle_alpha 90.00
_cell_angle_beta 90.00
_cell_angle_gamma 90.00
_space_group_name_H-M_alt 'I m m a'
_space_group_IT_number 74
_space_group_name_Hall '-I 2b 2'
loop_
_atom_site_label
_atom_site_fract_x
_atom_site_fract_y
_atom_site_fract_z
_atom_site_occupancy
Er1 0.0000 0.2500 0.1077 1
Al1 0.0000 0.2500 0.5532 1
Al2 0.2500 0.0424 0.7500 1
Tc1 0.0000 0.0000 0.5000 1
```

***

(10)
Calculated XRD peak list of Ba2TiCrS6 for Cu Ka, from a structure optimized by DFT (PBE).
Intensities are scaled so that the largest is 100.

The 12 most intense peaks (2θ from 10° to 90°), in order of rising 2θ:
2θ/deg  I (rel.)  index
19.98  30  0 1 5
23.80  57  1 0 7
26.22  100  1 1 0
30.44  28  1 0 10
31.68  30  0 0 12
33.18  75  2 0 5
35.70  83  0 2 7
40.60  36  0 2 10
46.27  21  3 0 0
53.95  44  2 2 0
55.69  29  2 0 17
63.93  22  2 2 12

```
data_Ba2TiCrS6
_chemical_formula_sum 'Ba12 Ti6 Cr6 S36'
_cell_length_a 6.7977
_cell_length_b 6.7977
_cell_length_c 33.8885
_cell_angle_alpha 90.00
_cell_angle_beta 90.00
_cell_angle_gamma 120.00
_space_group_name_H-M_alt 'R -3 m'
_space_group_IT_number 166
_space_group_name_Hall '-R 3 2"'
loop_
_atom_site_label
_atom_site_fract_x
_atom_site_fract_y
_atom_site_fract_z
_atom_site_occupancy
Ba1 0.0000 0.0000 0.1223 1
Ba2 0.0000 0.0000 0.2922 1
Ti1 0.0000 0.0000 0.0000 1
Ti2 0.0000 0.0000 0.5000 1
Cr1 0.0000 0.0000 0.4138 1
S1 0.0009 0.5004 0.2922 1
S2 0.0095 0.5048 0.1225 1
```

***

(11)
Calculated XRD peak list of CeGe3Ir2 for Cu Ka, from a structure optimized by DFT (PBE).
Intensities are scaled so that the largest is 100.

The 12 most intense peaks (2θ from 10° to 90°), in order of rising 2θ:
2θ/deg  I (rel.)  index
28.08  47  1 1 -2
30.77  37  3 1 -2
33.53  50  6 0 0
34.76  100  1 1 -3
34.88  74  5 1 -1
35.17  32  3 1 2
41.59  36  2 0 4
43.15  53  5 1 2
43.48  82  0 2 0
44.65  39  6 0 -4
45.19  53  7 1 0
55.99  32  6 2 0

```
data_CeGe3Ir2
_chemical_formula_sum 'Ce6 Ge18 Ir12'
_cell_length_a 16.4612
_cell_length_b 4.1626
_cell_length_c 9.8697
_cell_angle_alpha 90.00
_cell_angle_beta 103.05
_cell_angle_gamma 90.00
_space_group_name_H-M_alt 'C 1 2/m 1'
_space_group_IT_number 12
loop_
_space_group_symop_operation_xyz
'x,y,z'
'-x,-y,-z'
'-x,y,-z'
'x,-y,z'
'x+1/2,y+1/2,z'
'-x+1/2,-y+1/2,-z'
'-x+1/2,y+1/2,-z'
'x+1/2,-y+1/2,z'
loop_
_atom_site_label
_atom_site_fract_x
_atom_site_fract_y
_atom_site_fract_z
_atom_site_occupancy
Ce1 0.0000 0.0000 0.0000 1
Ce2 0.1512 0.0000 0.6917 1
Ge1 0.0000 0.5000 0.5000 1
Ge2 0.0464 0.0000 0.3598 1
Ge3 0.1404 0.5000 0.1780 1
Ge4 0.1466 0.5000 0.9198 1
Ge5 0.2245 0.0000 0.3726 1
Ir1 0.0054 0.5000 0.7740 1
Ir2 0.1456 0.5000 0.4382 1
Ir3 0.2036 0.0000 0.0846 1
```

***

(12)
Calculated XRD peak list of Hf6Co2Cu for Cu Ka, from a structure optimized by DFT (PBE).
Intensities are scaled so that the largest is 100.

The 12 most intense peaks (2θ from 10° to 90°), in order of rising 2θ:
2θ/deg  I (rel.)  index
28.55  26  2 0 2
29.94  24  0 1 3
32.97  26  0 3 1
34.20  32  3 1 0
35.65  100  2 2 2
37.16  55  2 1 3
38.50  66  1 3 2
39.70  38  2 3 1
40.12  32  3 2 1
43.42  49  0 2 4
43.79  21  4 0 0
68.57  35  5 3 2

```
data_Hf6Co2Cu
_chemical_formula_sum 'Hf24 Co8 Cu4'
_cell_length_a 8.2674
_cell_length_b 8.5005
_cell_length_c 9.5614
_cell_angle_alpha 90.00
_cell_angle_beta 90.00
_cell_angle_gamma 90.00
_space_group_name_H-M_alt 'I m m m'
_space_group_IT_number 71
_space_group_name_Hall '-I 2 2'
loop_
_atom_site_label
_atom_site_fract_x
_atom_site_fract_y
_atom_site_fract_z
_atom_site_occupancy
Hf1 0.0000 0.1954 0.2304 1
Hf2 0.1968 0.5000 0.1712 1
Hf3 0.2021 0.3139 0.5000 1
Co1 0.0000 0.3392 0.0000 1
Co2 0.0000 0.5000 0.3685 1
Cu1 0.0000 0.0000 0.0000 1
Cu2 0.0000 0.0000 0.5000 1
```